Computed powder diffraction line list
Compound: Zr3TiCu2
Radiation: copper Kα
Structure: a crystal structure in the Materials Project, relaxed with PBE
Neutral-atom scattering factors, no anomalous dispersion.

Cell and atoms:
a = 3.1746 Å, b = 3.1746 Å, c = 11.1109 Å
α = 90.00°, β = 90.00°, γ = 90.00°
Space group P4mm (No. 99)
Unique sites:
Zr (0.0000, 0.0000, 0.0000) (multiplicity 1)
Zr (0.0000, 0.0000, 0.3248) (multiplicity 1)
Zr (0.5000, 0.5000, 0.5227) (multiplicity 1)
Ti (0.5000, 0.5000, 0.8222) (multiplicity 1)
Cu (0.0000, 0.0000, 0.6926) (multiplicity 1)
Cu (0.5000, 0.5000, 0.1654) (multiplicity 1)

Peak list (10 most intense, 10° ≤ 2θ ≤ 90°, sorted by position)
32.48 deg, rel. 6, hkl 1 0 2; 37.31 deg, rel. 100, hkl 1 0 3; 40.17 deg, rel. 43, hkl 1 1 0; 49.20 deg, rel. 9, hkl 0 0 6; 58.11 deg, rel. 14, hkl 2 0 0; 65.32 deg, rel. 14, hkl 1 1 6; 71.12 deg, rel. 27, hkl 2 1 3; 79.54 deg, rel. 8, hkl 2 0 6; 84.14 deg, rel. 5, hkl 1 0 9; 86.76 deg, rel. 5, hkl 2 2 0